# 1
For K3In2Ag6, a DFT-relaxed cell (PBE, Alexandria) gives the calculated powder diffraction line list in this record (Cu Kα, 1.54184 Å).

The 8 most intense peaks (10° ≤ 2θ ≤ 90°), most intense first:
2theta	d [Å]	I (rel.)	h k l
36.17	2.484	100	3 3 0
11.88	7.451	45	1 1 0
38.20	2.356	38	4 2 0
31.78	2.816	34	3 2 1
65.05	1.434	29	6 3 3
42.01	2.151	26	4 2 2
16.83	5.268	25	2 0 0
76.75	1.242	19	6 6 0

Structure:
```
data_K3In2Ag6
_chemical_formula_sum 'K12 In8 Ag24'
_symmetry_space_group_name_H-M 'I m -3 m'
_symmetry_Int_Tables_number 229
_symmetry_space_group_name_Hall '-I 4 2 3'
_cell_length_a 10.537
_cell_length_b 10.537
_cell_length_c 10.537
_cell_angle_alpha 90.00
_cell_angle_beta 90.00
_cell_angle_gamma 90.00
loop_
_atom_site_label
_atom_site_type_symbol
_atom_site_fract_x
_atom_site_fract_y
_atom_site_fract_z
K1 K 0.000 0.000 0.285
In1 In 0.250 0.250 0.250
Ag1 Ag 0.000 0.328 0.328
```

# 2
For K2In12Ag, a DFT-relaxed cell (PBE, Alexandria) gives the calculated powder diffraction line list in this record (Cu Kα, 1.54184 Å).

The 8 most intense peaks (10° ≤ 2θ ≤ 90°), most intense first:
2theta	d [Å]	I (rel.)	h k l
39.51	2.281	100	2 0 6
36.14	2.485	69	2 2 0
27.24	3.274	64	2 0 2
20.41	4.350	46	1 1 2
26.74	3.334	30	1 1 4
35.72	2.514	28	2 0 5
32.15	2.784	28	2 1 3
67.25	1.392	27	4 2 6

Structure:
```
data_K2In12Ag
_chemical_formula_sum 'K4 In24 Ag2'
_symmetry_space_group_name_H-M 'P 4/n b m'
_symmetry_Int_Tables_number 125
_cell_length_a 7.030
_cell_length_b 7.030
_cell_length_c 17.985
_cell_angle_alpha 90.00
_cell_angle_beta 90.00
_cell_angle_gamma 90.00
loop_
_symmetry_equiv_pos_as_xyz
'x,y,z'
'-x,-y,-z'
'-y+1/2,x,z'
'y+1/2,-x,-z'
'-x+1/2,-y+1/2,z'
'x+1/2,y+1/2,-z'
'y,-x+1/2,z'
'-y,x+1/2,-z'
'x,-y+1/2,-z'
'-x,y+1/2,z'
'-y+1/2,-x+1/2,-z'
'y+1/2,x+1/2,z'
'-x+1/2,y,-z'
'x+1/2,-y,z'
'y,x,-z'
'-y,-x,z'
loop_
_atom_site_label
_atom_site_type_symbol
_atom_site_fract_x
_atom_site_fract_y
_atom_site_fract_z
K1 K 0.250 0.750 0.248
In1 In 0.000 0.000 0.086
In2 In 0.084 0.584 0.432
In3 In 0.250 0.250 0.180
In4 In 0.250 0.250 0.343
Ag1 Ag 0.250 0.750 0.000
```